Calculated X-ray diffraction stick pattern
Compound: PH6PbCCl3
Radiation: Cu Kα (λ = 1.5418 Å)
Structure: a PBE-relaxed structure
No peak broadening, texture or thermal motion is included.

The 10 most intense peaks (2θ from 10° to 90°), low angle first:
| (hkl) | 2θ (°) | I_rel |
| --- | --- | --- |
| 0 1 1 | 11.87 | 100 |
| 0 1 -1 | 12.68 | 38 |
| 0 1 3 | 20.14 | 12 |
| 0 2 0 | 21.60 | 26 |
| 2 1 -2 | 28.32 | 9 |
| 2 0 3 | 29.30 | 8 |
| -2 1 2 | 30.27 | 7 |
| 2 0 -3 | 30.61 | 7 |
| 2 2 -1 | 31.01 | 11 |
| 2 0 -5 | 39.60 | 8 |

Cell and atoms:
Unit cell a=7.5649 b=8.3723 c=14.9455 alpha=84.96 beta=86.70 gamma=81.23
Fractional coordinates of all 48 atoms:
P 0.0000 0.0000 0.0000
P 0.0257 0.4742 0.4782
P 0.4319 0.4976 0.8324
P 0.5453 0.9849 0.3105
H 0.0356 0.5871 0.4024
H 0.0713 0.8414 0.9791
H 0.1040 0.2085 0.0737
H 0.1336 0.0154 0.1388
H 0.2020 0.4158 0.5043
H 0.2544 0.5790 0.8389
H 0.2820 0.0532 0.0429
H 0.3772 0.9461 0.2921
H 0.4272 0.3323 0.8598
H 0.4507 0.1855 0.4144
H 0.4828 0.5065 0.7403
H 0.4880 0.9842 0.4697
H 0.5481 0.7190 0.8859
H 0.5576 0.5482 0.9680
H 0.5977 0.0932 0.2391
H 0.6660 0.8392 0.3119
H 0.6745 0.0850 0.4326
H 0.7174 0.5445 0.8739
H 0.7607 0.6052 0.5520
H 0.8315 0.9886 0.0438
H 0.9024 0.4758 0.6293
H 0.9532 0.3402 0.4542
H 0.9595 0.6700 0.5872
H 0.9684 0.0990 0.9190
Pb 0.1789 0.0371 0.7037
Pb 0.3862 0.5389 0.1977
Pb 0.6805 0.0315 0.7060
Pb 0.8870 0.5290 0.1921
C 0.1444 0.0774 0.0712
C 0.5384 0.0685 0.4172
C 0.5789 0.5864 0.8966
C 0.8996 0.5653 0.5707
Cl 0.0772 0.7659 0.2660
Cl 0.1771 0.5417 0.0449
Cl 0.1861 0.3030 0.2858
Cl 0.3958 0.0326 0.8570
Cl 0.4040 0.2767 0.6288
Cl 0.4587 0.8074 0.6383
Cl 0.6195 0.7837 0.1238
Cl 0.6501 0.5244 0.3467
Cl 0.6717 0.3058 0.1247
Cl 0.8666 0.2629 0.7799
Cl 0.9371 0.0491 0.5572
Cl 0.9736 0.8004 0.7893

---

Calculated X-ray diffraction stick pattern
Compound: Nd3CoAu
Radiation: Cu Kα (λ = 1.5418 Å)
Structure: a PBE-relaxed structure
No peak broadening, texture or thermal motion is included.

The 10 most intense peaks (2θ from 10° to 90°), low angle first:
| (hkl) | 2θ (°) | I_rel |
| --- | --- | --- |
| 1 1 1 | 29.11 | 100 |
| 1 0 -3 | 31.31 | 70 |
| 2 1 -1 | 31.40 | 59 |
| 2 1 0 | 32.01 | 55 |
| 3 0 0 | 33.55 | 68 |
| 2 1 -2 | 34.62 | 91 |
| 1 1 2 | 36.13 | 48 |
| 1 1 -3 | 39.06 | 45 |
| 0 2 0 | 46.51 | 40 |
| 3 2 0 | 58.56 | 28 |

Cell and atoms:
Unit cell a=8.4656 b=3.9051 c=8.5722 alpha=90.00 beta=108.83 gamma=90.00
Fractional coordinates of all 10 atoms:
Nd 0.0544 0.2500 0.2389
Nd 0.3185 0.2500 0.9671
Nd 0.3321 0.7500 0.6045
Nd 0.6679 0.2500 0.3955
Nd 0.6815 0.7500 0.0329
Nd 0.9456 0.7500 0.7611
Co 0.0606 0.2500 0.5714
Co 0.9394 0.7500 0.4286
Au 0.3562 0.7500 0.2459
Au 0.6438 0.2500 0.7541

---

- What is the formula in the first record?
  PH6PbCCl3